For LiMnP2H2O8, a cell relaxed with PBE+U gives the simulated XRD peak list in this record (Cu Kα (λ = 1.5418 Å)).
Neutral-atom scattering factors, no anomalous dispersion.

Top 10 peaks for 10° ≤ 2θ ≤ 80°, by angle:
Position (°2θ), Rel. int.
16.3, 100
20.6, 23
21.8, 32
23.4, 57
24.5, 68
25.3, 23
30.4, 42
31.1, 35
32.8, 18
33.0, 31

Structure:
```
LiMnP2H2O8
1.0
5.1188 -8.0181 0.0000
5.1188 8.0181 0.0000
-4.6663 0.0000 7.3650
Li Mn P H O
4 4 8 8 32
direct
0.1828 0.8172 0.5000
0.3132 0.7010 0.0124
0.7010 0.3132 0.5124
0.8172 0.1828 0.0000
0.0648 0.7776 0.8094
0.2988 0.5126 0.2979
0.5126 0.2988 0.7979
0.7776 0.0648 0.3094
0.0689 0.0760 0.6505
0.0760 0.0689 0.1505
0.1112 0.4820 0.5715
0.4820 0.1112 0.0715
0.5252 0.9771 0.5527
0.5669 0.6335 0.1235
0.6335 0.5669 0.6235
0.9771 0.5252 0.0527
0.1279 0.2029 0.9369
0.2029 0.1279 0.4369
0.2424 0.4019 0.7388
0.4019 0.2424 0.2388
0.6381 0.8783 0.7250
0.7973 0.8019 0.8813
0.8019 0.7973 0.3813
0.8783 0.6381 0.2250
0.0006 0.8994 0.9734
0.0399 0.1628 0.8113
0.0672 0.4357 0.1223
0.0716 0.6301 0.9720
0.0834 0.9224 0.6514
0.1142 0.6529 0.6225
0.1628 0.0399 0.3113
0.2023 0.4612 0.4575
0.2184 0.2295 0.1529
0.2228 0.5016 0.7604
0.2295 0.2184 0.6529
0.3212 0.9191 0.9800
0.3761 0.7840 0.4265
0.3892 0.5415 0.1241
0.4357 0.0672 0.6223
0.4612 0.2023 0.9575
0.5016 0.2228 0.2604
0.5232 0.5583 0.4513
0.5415 0.3892 0.6241
0.5583 0.5232 0.9513
0.5997 0.8126 0.1382
0.6301 0.0716 0.4720
0.6529 0.1142 0.1225
0.6571 0.9914 0.7308
0.6685 0.7288 0.7848
0.7288 0.6685 0.2848
0.7840 0.3761 0.9265
0.8126 0.5997 0.6382
0.8994 0.0006 0.4734
0.9191 0.3212 0.4800
0.9224 0.0834 0.1514
0.9914 0.6571 0.2308
```